Structure and simulated powder diffraction line list of Pm2H3Pt17 (DFT lattice parameters and positions (PBE); Cu Kα X-rays).
Intensities are scaled so that the largest is 100.

The 8 most intense peaks (2θ from 10° to 90°), low angle first:
d = 2.703 Å, 2θ = 33.14°, intensity 31, hkl 3 0 0; d = 2.341 Å, 2θ = 38.45°, intensity 56, hkl 2 2 0; d = 2.319 Å, 2θ = 38.83°, intensity 95, hkl 0 3 3; d = 2.257 Å, 2θ = 39.95°, intensity 52, hkl 0 0 6; d = 2.078 Å, 2θ = 43.55°, intensity 100, hkl 2 2 3; d = 2.033 Å, 2θ = 44.57°, intensity 29, hkl 1 1 6; d = 1.352 Å, 2θ = 69.55°, intensity 29, hkl 6 0 0; d = 1.315 Å, 2θ = 71.78°, intensity 27, hkl 0 3 9

Structure:
Cell: 9.3642 9.3642 13.5462 Å, 90.00 90.00 120.00°
Space group R-3m (No. 166, hexagonal axes)
Asymmetric unit:
Pm: 0.0000 0.0000 0.1632 x6
H: 0.0000 0.5000 0.5000 x9
Pt: 0.0000 0.0000 0.3928 x6
Pt: 0.0000 0.3058 0.5000 x18
Pt: 0.0000 0.5000 0.0000 x9
Pt: 0.0049 0.5024 0.6594 x18